# CeSbIr
Computed XRD peak list, Cu Kα, 1.54184 Å. Input: DFT lattice parameters and positions (GGA-PBE).
Neutral-atom scattering factors, no anomalous dispersion.

Peak list (6 most intense, 15° ≤ 2θ ≤ 90°, by angle)
two_theta  d/Å  Rel. int.  hkl
32.20  2.780  35  1 1 2
33.38  2.684  100  2 1 1
38.81  2.320  21  3 0 1
39.16  2.300  50  0 1 3
39.36  2.289  36  0 2 0
63.73  1.460  17  3 1 4

Cell and atoms:
```
data_CeSbIr
_chemical_formula_sum 'Ce4 Sb4 Ir4'
_cell_length_a 7.2751
_cell_length_b 4.5786
_cell_length_c 7.9820
_cell_angle_alpha 90.00
_cell_angle_beta 90.00
_cell_angle_gamma 90.00
_symmetry_space_group_name_H-M 'P n m a'
_symmetry_Int_Tables_number 62
loop_
_symmetry_equiv_pos_as_xyz
'x,y,z'
'-x,-y,-z'
'-x+1/2,-y,z+1/2'
'x+1/2,y,-z+1/2'
'x+1/2,-y+1/2,-z+1/2'
'-x+1/2,y+1/2,z+1/2'
'-x,y+1/2,-z'
'x,-y+1/2,z'
loop_
_atom_site_label
_atom_site_fract_x
_atom_site_fract_y
_atom_site_fract_z
_atom_site_occupancy
Ce1 0.0113 0.2500 0.1925 1
Sb1 0.1776 0.2500 0.5881 1
Ir1 0.2196 0.7500 0.4150 1
```